Record 1
For ErMg9Pt2, a DFT-relaxed cell (PBE, Alexandria) gives the theoretical PXRD pattern in this record (Cu Kα (λ = 1.5418 Å)).

Top 10 peaks for 10° ≤ 2θ ≤ 80°, most intense first:
Position (°2θ)	d/Å	I (rel.)
20.8	4.265	100
30.2	2.958	56
42.4	2.133	44
28.4	3.143	35
53.9	1.700	34
30.8	2.903	33
34.2	2.620	26
36.9	2.436	23
43.7	2.072	20
14.1	6.286	16

Structure:
```
24
Lattice="-5.8067 5.8067 3.7379 5.8067 -5.8067 3.7379 5.8067 5.8067 -3.7379" Properties=species:S:1:pos:R:3 pbc="T T T"
Er 5.8067 2.9034 0.9345
Er 0.0000 2.9034 2.8034
Mg 5.8067 -2.9034 2.8034
Mg 4.3951 -0.6246 1.3981
Mg 7.2184 -0.6246 1.3981
Mg 2.2787 1.4917 0.4709
Mg 9.3347 1.4917 0.4709
Mg 4.3951 5.1821 -1.3981
Mg 1.4117 -0.6246 2.3398
Mg 2.2787 4.3150 0.4709
Mg 3.5280 -1.4917 4.2088
Mg 2.2787 7.2984 -0.4709
Mg 3.5280 1.4917 3.2670
Mg 4.3951 6.4313 1.3981
Mg 1.4117 0.6246 5.1359
Mg -3.5280 4.3150 3.2670
Mg 3.5280 4.3150 3.2670
Mg -1.4117 6.4313 2.3398
Mg 1.4117 6.4313 2.3398
Mg 0.0000 8.7101 0.9345
Pt 0.0000 0.0000 0.0000
Pt 2.9034 2.9034 -1.8689
Pt 2.9034 -2.9034 1.8689
Pt 0.0000 5.8067 0.0000
```



Record 2
For Mg6CdSiO8, a DFT-relaxed cell (PBE, Alexandria) gives the theoretical PXRD pattern in this record (Cu Kα (λ = 1.5418 Å)).

Top 10 peaks for 10° ≤ 2θ ≤ 80°, most intense first:
Position (°2θ)	d/Å	I (rel.)
40.7	2.218	100
59.5	1.553	56
41.5	2.176	46
35.3	2.545	45
10.2	8.703	45
22.5	3.952	35
20.0	4.436	30
58.9	1.568	29
74.6	1.272	26
28.7	3.106	25

Structure:
```
16
Lattice="4.4364 0.0000 0.0000 0.0000 4.4364 0.0000 0.0000 0.0000 8.7027" Properties=species:S:1:pos:R:3 pbc="T T T"
Mg 0.0000 0.0000 0.0000
Mg 0.0000 0.0000 4.3514
Mg 0.0000 2.2182 2.1485
Mg 0.0000 2.2182 6.5542
Mg 2.2182 0.0000 2.1485
Mg 2.2182 0.0000 6.5542
Cd 2.2182 2.2182 4.3514
Si 2.2182 2.2182 0.0000
O 0.0000 0.0000 2.1637
O 0.0000 0.0000 6.5390
O 0.0000 2.2182 0.0000
O 0.0000 2.2182 4.3514
O 2.2182 0.0000 0.0000
O 2.2182 0.0000 4.3514
O 2.2182 2.2182 2.0280
O 2.2182 2.2182 6.6747
```